Record 1
This entry pairs a crystal structure of RbCuNiTeS2 with its computed X-ray powder pattern. Radiation: CuKα. Structure: a crystal structure in OQMD, relaxed with GGA-PBE.

abc: 8.208 8.208 9.949
angles: 90.00 90.00 155.24
Fractional coordinates of all 12 atoms:
1 Rb 0.233 0.767 0.750
2 Rb 0.767 0.233 0.250
3 Cu 0.449 0.551 0.250
4 Cu 0.551 0.449 0.750
5 Ni 0.000 0.000 0.000
6 Ni 0.000 0.000 0.500
7 Te 0.068 0.932 0.250
8 Te 0.932 0.068 0.750
9 S 0.405 0.595 0.037
10 S 0.405 0.595 0.463
11 S 0.595 0.405 0.537
12 S 0.595 0.405 0.963

Main lines, in order of falling intensity (15° ≤ 2θ ≤ 90°):
31.7°, rel. 100
36.1°, rel. 35
41.0°, rel. 31
17.8°, rel. 31
55.8°, rel. 26
51.0°, rel. 18
38.2°, rel. 18
52.0°, rel. 13
42.2°, rel. 12
37.9°, rel. 12

***

Record 2
This entry pairs a crystal structure of CuNi2S3 with its computed X-ray powder pattern. Radiation: CuKα. Structure: a crystal structure in OQMD, relaxed with GGA-PBE.

abc: 6.420 3.394 9.310
angles: 90.00 99.31 90.00
Fractional coordinates of all 12 atoms:
1 Cu 0.105 0.250 0.081
2 Cu 0.895 0.750 0.919
3 Ni 0.285 0.750 0.295
4 Ni 0.432 0.750 0.588
5 Ni 0.568 0.250 0.412
6 Ni 0.715 0.250 0.705
7 S 0.058 0.250 0.820
8 S 0.241 0.250 0.468
9 S 0.449 0.250 0.181
10 S 0.551 0.750 0.819
11 S 0.759 0.750 0.532
12 S 0.942 0.750 0.180

Main lines, in order of falling intensity (15° ≤ 2θ ≤ 90°):
15.7°, rel. 100
39.6°, rel. 24
38.9°, rel. 19
50.5°, rel. 17
30.7°, rel. 13
54.0°, rel. 12
37.1°, rel. 12
48.1°, rel. 11
44.3°, rel. 10
53.4°, rel. 7

***

Record 3
This entry pairs a crystal structure of CuNiSbS3 with its computed X-ray powder pattern. Radiation: CuKα. Structure: a crystal structure in OQMD, relaxed with GGA-PBE.

abc: 4.891 7.492 12.356
angles: 90.00 90.00 90.00
Fractional coordinates of all 24 atoms:
1 Cu 0.019 0.115 0.439
2 Cu 0.481 0.885 0.939
3 Cu 0.519 0.385 0.561
4 Cu 0.981 0.615 0.061
5 Ni 0.008 0.636 0.748
6 Ni 0.492 0.364 0.248
7 Ni 0.508 0.864 0.252
8 Ni 0.992 0.136 0.752
9 Sb 0.058 0.122 0.135
10 Sb 0.442 0.878 0.635
11 Sb 0.558 0.378 0.865
12 Sb 0.942 0.622 0.365
13 S 0.219 0.133 0.910
14 S 0.219 0.383 0.704
15 S 0.226 0.635 0.906
16 S 0.274 0.365 0.406
17 S 0.281 0.617 0.204
18 S 0.281 0.867 0.410
19 S 0.719 0.117 0.296
20 S 0.719 0.367 0.090
21 S 0.726 0.865 0.094
22 S 0.774 0.135 0.594
23 S 0.781 0.633 0.590
24 S 0.781 0.883 0.796

Main lines, in order of falling intensity (15° ≤ 2θ ≤ 90°):
30.0°, rel. 100
28.3°, rel. 63
49.7°, rel. 48
30.8°, rel. 29
48.6°, rel. 24
30.9°, rel. 22
57.2°, rel. 21
32.3°, rel. 15
24.7°, rel. 13
26.1°, rel. 13